No. 1
Diffraction record for BaLuFeCuO5. The powder XRD pattern is simulated, not measured: it uses DFT lattice parameters and positions (GGA+U) and Cu Kα X-rays.
Neutral-atom scattering factors, no anomalous dispersion.

Structural model:
a b c (Å): 3.855 3.855 7.950
angles (deg): 90.00 90.00 90.00
Sites, in units of the cell vectors:
Ba 0.000 0.000 0.000
Lu 0.000 0.000 0.535
Fe 0.500 0.500 0.300
Cu 0.500 0.500 0.742
O 0.000 0.500 0.374
O 0.000 0.500 0.719
O 0.500 0.000 0.374
O 0.500 0.000 0.719
O 0.500 0.500 0.063

Largest 10 diffraction maxima, most intense first, 10 to 80 degrees two-theta:
d = 2.767 Å, 2θ 32.3, I = 100
d = 2.726 Å, 2θ 32.9, I = 43
d = 1.582 Å, 2θ 58.3, I = 37
d = 1.928 Å, 2θ 47.1, I = 27
d = 1.606 Å, 2θ 57.4, I = 18
d = 2.248 Å, 2θ 40.1, I = 18
d = 3.855 Å, 2θ 23.1, I = 17
d = 7.950 Å, 2θ 11.1, I = 15
d = 1.384 Å, 2θ 67.7, I = 9
d = 2.184 Å, 2θ 41.3, I = 9

***

No. 2
Diffraction record for Ba4Pr4Fe4Cu4O21. The powder XRD pattern is simulated, not measured: it uses DFT lattice parameters and positions (GGA+U) and Cu Kα X-rays.
Neutral-atom scattering factors, no anomalous dispersion.

Structural model:
a b c (Å): 16.329 16.329 16.329
angles (deg): 160.23 160.23 28.11
Sites, in units of the cell vectors:
Ba 0.130 0.630 0.500
Ba 0.370 0.870 0.500
Ba 0.630 0.130 0.500
Ba 0.870 0.370 0.500
Pr 0.000 0.500 0.500
Pr 0.250 0.750 0.500
Pr 0.500 0.000 0.500
Pr 0.750 0.250 0.500
Fe 0.060 0.060 0.000
Fe 0.434 0.434 0.000
Fe 0.566 0.566 0.000
Fe 0.940 0.940 0.000
Cu 0.194 0.194 0.000
Cu 0.306 0.306 0.000
Cu 0.694 0.694 0.000
Cu 0.806 0.806 0.000
O 0.000 0.000 0.000
O 0.047 0.047 0.497
O 0.047 0.551 0.000
O 0.119 0.119 0.000
O 0.208 0.208 0.519
O 0.208 0.689 0.000
O 0.311 0.311 0.519
O 0.311 0.792 0.000
O 0.375 0.375 0.000
O 0.449 0.449 0.497
O 0.449 0.953 0.000
O 0.551 0.047 0.000
O 0.551 0.551 0.503
O 0.625 0.625 0.000
O 0.689 0.208 0.000
O 0.689 0.689 0.481
O 0.792 0.311 0.000
O 0.792 0.792 0.481
O 0.881 0.881 0.000
O 0.953 0.449 0.000
O 0.953 0.953 0.503

Largest 10 diffraction maxima, most intense first, 10 to 80 degrees two-theta:
d = 2.802 Å, 2θ 31.9, I = 100
d = 1.618 Å, 2θ 56.9, I = 38
d = 1.982 Å, 2θ 45.8, I = 28
d = 1.401 Å, 2θ 66.8, I = 15
d = 1.253 Å, 2θ 75.9, I = 15
d = 2.288 Å, 2θ 39.4, I = 13
d = 3.964 Å, 2θ 22.4, I = 12
d = 1.772 Å, 2θ 51.6, I = 6
d = 1.321 Å, 2θ 71.4, I = 3
d = 2.475 Å, 2θ 36.3, I = 2

***

No. 3
Diffraction record for BaYFeCuO5. The powder XRD pattern is simulated, not measured: it uses DFT lattice parameters and positions (GGA+U) and Cu Kα X-rays.
Neutral-atom scattering factors, no anomalous dispersion.

Structural model:
a b c (Å): 3.899 3.899 7.945
angles (deg): 90.00 90.00 90.00
Sites, in units of the cell vectors:
Ba 0.000 0.000 0.000
Y 0.000 0.000 0.466
Fe 0.500 0.500 0.708
Cu 0.500 0.500 0.257
O 0.000 0.500 0.279
O 0.000 0.500 0.638
O 0.500 0.000 0.279
O 0.500 0.000 0.638
O 0.500 0.500 0.943

Largest 10 diffraction maxima, most intense first, 10 to 80 degrees two-theta:
d = 2.783 Å, 2θ 32.2, I = 100
d = 2.757 Å, 2θ 32.5, I = 41
d = 1.597 Å, 2θ 57.7, I = 36
d = 1.950 Å, 2θ 46.6, I = 30
d = 1.612 Å, 2θ 57.2, I = 18
d = 2.265 Å, 2θ 39.8, I = 12
d = 1.391 Å, 2θ 67.3, I = 10
d = 1.379 Å, 2θ 68.0, I = 9
d = 1.986 Å, 2θ 45.7, I = 8
d = 1.235 Å, 2θ 77.2, I = 8

***

No. 4
Diffraction record for BaV2Cu3H2O10. The powder XRD pattern is simulated, not measured: it uses DFT lattice parameters and positions (GGA+U) and Cu Kα X-rays.
Neutral-atom scattering factors, no anomalous dispersion.

Structural model:
a b c (Å): 5.966 5.966 7.846
angles (deg): 114.05 114.05 60.25
Sites, in units of the cell vectors:
Ba 0.000 0.000 0.000
V 0.414 0.414 0.230
V 0.586 0.586 0.770
Cu 0.000 0.000 0.500
Cu 0.000 0.500 0.500
Cu 0.500 0.000 0.500
H 0.261 0.261 0.774
H 0.739 0.739 0.226
O 0.209 0.209 0.624
O 0.233 0.719 0.684
O 0.279 0.279 0.298
O 0.281 0.767 0.316
O 0.332 0.332 0.984
O 0.668 0.668 0.016
O 0.719 0.233 0.684
O 0.721 0.721 0.702
O 0.767 0.281 0.316
O 0.791 0.791 0.376

Largest 10 diffraction maxima, most intense first, 10 to 80 degrees two-theta:
d = 3.269 Å, 2θ 27.3, I = 100
d = 2.334 Å, 2θ 38.6, I = 60
d = 2.552 Å, 2θ 35.2, I = 44
d = 3.177 Å, 2θ 28.1, I = 42
d = 2.748 Å, 2θ 32.6, I = 41
d = 2.771 Å, 2θ 32.3, I = 40
d = 2.707 Å, 2θ 33.1, I = 36
d = 2.981 Å, 2θ 30.0, I = 36
d = 1.491 Å, 2θ 62.3, I = 33
d = 2.501 Å, 2θ 35.9, I = 33